# NpH7Rh4
Computed powder diffraction line list, Cu Kα (weighted mean of Kα1 and Kα2). Input: a DFT-relaxed cell (GGA-PBE, Alexandria).

Cell and atoms:
a = 2.9886 Å, b = 14.8227 Å, c = 4.9639 Å
α = 90.00°, β = 90.00°, γ = 90.00°
Space group Imm2 (No. 44)
Symmetry-distinct sites (fractional):
Np: 0.0000 0.0000 0.0000
H: 0.0000 0.1270 0.6281
H: 0.0000 0.2857 0.2806
H: 0.0000 0.3707 0.6043
H: 0.0000 0.5000 0.1607
Rh: 0.0000 0.2516 0.6213
Rh: 0.0000 0.4066 0.9478

Top 6 peaks for 10 to 90 degrees two-theta, low angle first:
index, 2θ/deg, intensity
0 3 1, 25.44, 40.1
1 0 1, 35.06, 50.7
0 5 1, 35.26, 48.6
1 2 1, 37.15, 100.0
0 2 2, 38.24, 30.3
1 5 0, 42.97, 29.7


# NpH2Rh
Computed powder diffraction line list, Cu Kα (weighted mean of Kα1 and Kα2). Input: a DFT-relaxed cell (GGA-PBE, Alexandria).

Cell and atoms:
a = 5.0381 Å, b = 5.0381 Å, c = 6.2275 Å
α = 90.00°, β = 90.00°, γ = 120.00°
Space group P3_121 (No. 152)
Symmetry-distinct sites (fractional):
Np: 0.0000 0.6467 0.1667
H: 0.1493 0.4908 0.8288
Rh: 0.0000 0.7261 0.6667

Top 6 peaks for 10 to 90 degrees two-theta, low angle first:
index, 2θ/deg, intensity
0 1 1, 24.92, 38.1
1 0 2, 35.42, 100.0
1 1 0, 35.64, 91.4
0 2 2, 51.12, 32.7
0 1 4, 63.44, 18.8
2 1 2, 63.87, 29.9


# Np3H2Rh9
Computed powder diffraction line list, Cu Kα (weighted mean of Kα1 and Kα2). Input: a DFT-relaxed cell (GGA-PBE, Alexandria).

Cell and atoms:
a = 5.7382 Å, b = 5.7382 Å, c = 7.0503 Å
α = 90.00°, β = 90.00°, γ = 120.00°
Space group P-3m1 (No. 164)
Symmetry-distinct sites (fractional):
Np: 0.0000 0.0000 0.0000
Np: 0.3333 0.6667 0.3379
H: 0.3333 0.6667 0.8299
Rh: 0.0000 0.5000 0.0000
Rh: 0.1651 0.3302 0.6665

Top 6 peaks for 10 to 90 degrees two-theta, low angle first:
index, 2θ/deg, intensity
0 0 3, 38.30, 33.6
2 0 1, 38.41, 100.0
0 2 2, 44.62, 65.9
2 0 4, 64.86, 21.5
2 2 0, 65.01, 21.4
2 2 3, 78.07, 37.9


# NpSbHRh
Computed powder diffraction line list, Cu Kα (weighted mean of Kα1 and Kα2). Input: a DFT-relaxed cell (GGA-PBE, Alexandria).

Cell and atoms:
a = 4.6099 Å, b = 4.6099 Å, c = 3.6793 Å
α = 90.00°, β = 90.00°, γ = 120.00°
Space group P-6m2 (No. 187)
Symmetry-distinct sites (fractional):
Np: 0.0000 0.0000 0.0000
Sb: 0.3333 0.6667 0.5000
H: 0.6667 0.3333 0.0000
Rh: 0.6667 0.3333 0.5000

Top 6 peaks for 10 to 90 degrees two-theta, low angle first:
index, 2θ/deg, intensity
1 0 0, 22.27, 14.8
1 0 1, 33.11, 100.0
1 1 0, 39.08, 56.9
2 0 1, 52.13, 28.2
1 1 2, 64.85, 25.7
2 1 1, 67.04, 26.7